This entry pairs a crystal structure of BaMg9Tl2 with its computed powder X-ray diffraction pattern. Radiation: Cu Kα (weighted mean of Kα1 and Kα2). Structure: a DFT-relaxed cell (GGA-PBE, Alexandria).

Top 10 peaks for 10 to 80 degrees two-theta, low angle first:
index  2theta  Rel. int.
1 0 1  13.1  28
2 1 1  19.4  100
2 0 2  26.4  46
3 2 1  28.1  62
4 0 0  28.6  39
3 1 2  31.8  24
1 0 3  34.2  25
5 0 1  37.8  23
4 2 2  39.3  57
5 2 1  40.5  23

Structural model:
Cell lengths 12.4695, 12.4695, 8.0468 Å; angles 90.00, 90.00, 90.00 degrees
Space group I4_1/amd (No. 141, origin choice 2)
Unique sites:
Ba1 0.0000 0.2500 0.3750 [4 per cell]
Mg1 0.0000 0.2500 0.8750 [4 per cell]
Mg2 0.1231 0.0469 0.6792 [32 per cell]
Tl1 0.0000 0.0000 0.0000 [8 per cell]

***

This entry pairs a crystal structure of Sr2Mg3Hg4 with its computed powder X-ray diffraction pattern. Radiation: Cu Kα (weighted mean of Kα1 and Kα2). Structure: a DFT-relaxed cell (GGA-PBE, Alexandria).

Top 10 peaks for 10 to 80 degrees two-theta, low angle first:
index  2theta  Rel. int.
0 2 2  23.0  55
0 4 1  23.2  76
0 4 2  29.3  19
2 2 0  29.4  32
1 5 1  31.3  100
0 2 3  32.6  41
0 6 1  33.0  21
2 0 2  34.5  77
0 8 0  42.2  18
2 4 3  47.1  22

Structural model:
Cell lengths 6.4912, 17.1177, 8.6873 Å; angles 90.00, 90.00, 90.00 degrees
Space group Cmce (No. 64)
Unique sites:
Sr1 0.0000 0.1108 0.0876 [8 per cell]
Mg1 0.0000 0.0000 0.5000 [4 per cell]
Mg2 0.2500 0.2192 0.7500 [8 per cell]
Hg1 0.0000 0.1823 0.4639 [8 per cell]
Hg2 0.2500 0.0506 0.7500 [8 per cell]

***

This entry pairs a crystal structure of Y6GaHg5 with its computed powder X-ray diffraction pattern. Radiation: Cu Kα (weighted mean of Kα1 and Kα2). Structure: a DFT-relaxed cell (GGA-PBE, Alexandria).

Top 10 peaks for 10 to 80 degrees two-theta, low angle first:
index  2theta  Rel. int.
0 2 0  24.0  12
2 0 0  34.2  100
2 2 0  42.2  4
0 4 0  49.0  6
2 0 6  49.2  12
1 4 3  55.3  2
3 0 3  55.4  4
2 4 0  61.1  12
3 2 3  61.3  25
2 4 6  72.0  9

Structural model:
Cell lengths 5.2346, 7.4362, 15.7316 Å; angles 90.00, 90.00, 90.00 degrees
Space group Immm (No. 71)
Unique sites:
Y1 0.0000 0.2424 0.0000 [4 per cell]
Y2 0.0000 0.2538 0.3360 [8 per cell]
Ga1 0.0000 0.5000 0.5000 [2 per cell]
Hg1 0.0000 0.0000 0.1699 [4 per cell]
Hg2 0.0000 0.0000 0.5000 [2 per cell]
Hg3 0.0000 0.5000 0.1657 [4 per cell]

***

This entry pairs a crystal structure of Ac3LaSm8 with its computed powder X-ray diffraction pattern. Radiation: Cu Kα (weighted mean of Kα1 and Kα2). Structure: a DFT-relaxed cell (GGA-PBE, Alexandria).

Top 10 peaks for 10 to 80 degrees two-theta, low angle first:
index  2theta  Rel. int.
3 1 -2  29.1  38
5 1 -1  29.7  100
2 2 1  30.0  36
4 2 0  31.4  9
1 3 -1  32.0  11
2 2 -2  33.1  22
6 2 -1  39.1  10
1 1 3  49.1  13
6 4 -2  54.6  10
6 0 2  58.0  10

Structural model:
Cell lengths 15.9353, 9.2300, 6.6722 Å; angles 90.00, 114.75, 90.00 degrees
Space group C2 (No. 5)
Unique sites:
Ac1 0.0000 0.0000 0.0000 [2 per cell]
Ac2 0.1348 0.0493 0.6352 [4 per cell]
La1 0.0000 0.3894 0.5000 [2 per cell]
Sm1 0.0753 0.6733 0.8480 [4 per cell]
Sm2 0.1298 0.3333 0.1508 [4 per cell]
Sm3 0.1646 0.6810 0.4422 [4 per cell]
Sm4 0.2490 0.4209 0.8219 [4 per cell]